AcMg6Hg6: theoretical powder XRD pattern (CuKα), based on a cell relaxed with GGA-PBE.

```
data_AcMg6Hg6
_cell_length_a 6.222
_cell_length_b 9.623
_cell_length_c 10.296
_cell_angle_alpha 90.00
_cell_angle_beta 90.00
_cell_angle_gamma 90.00
_symmetry_space_group_name_H-M 'I m m m'
_symmetry_Int_Tables_number 71
_symmetry_space_group_name_Hall '-I 2 2'
loop_
_atom_site_label
_atom_site_type_symbol
_atom_site_fract_x
_atom_site_fract_y
_atom_site_fract_z
Ac1 Ac 0.000 0.000 0.000
Mg1 Mg 0.000 0.255 0.500
Mg2 Mg 0.250 0.250 0.250
Hg1 Hg 0.000 0.000 0.339
Hg2 Hg 0.000 0.342 0.000
Hg3 Hg 0.000 0.500 0.325
```

Main lines, sorted by position (5° ≤ 2θ ≤ 70°):
- 2θ 18.4, 4.811 Å, I 41, hkl 0 2 0
- 2θ 28.7, 3.111 Å, I 55, hkl 2 0 0
- 2θ 29.2, 3.062 Å, I 19, hkl 0 3 1
- 2θ 29.7, 3.005 Å, I 100, hkl 1 0 3
- 2θ 34.3, 2.612 Å, I 31, hkl 2 2 0
- 2θ 35.2, 2.549 Å, I 57, hkl 1 2 3
- 2θ 36.0, 2.494 Å, I 30, hkl 1 3 2
- 2θ 41.4, 2.182 Å, I 21, hkl 2 3 1
- 2θ 51.5, 1.775 Å, I 22, hkl 3 0 3
- 2θ 66.0, 1.415 Å, I 24, hkl 1 6 3

=====

AcMg11Hg: theoretical powder XRD pattern (CuKα), based on a cell relaxed with GGA-PBE.

```
data_AcMg11Hg
_cell_length_a 5.997
_cell_length_b 14.561
_cell_length_c 7.826
_cell_angle_alpha 90.00
_cell_angle_beta 111.69
_cell_angle_gamma 90.00
_symmetry_space_group_name_H-M 'C 1 2/m 1'
_symmetry_Int_Tables_number 12
_symmetry_space_group_name_Hall '-C 2y'
loop_
_atom_site_label
_atom_site_type_symbol
_atom_site_fract_x
_atom_site_fract_y
_atom_site_fract_z
Ac1 Ac 0.000 0.000 0.000
Mg1 Mg 0.000 0.000 0.500
Mg2 Mg 0.106 0.393 0.220
Mg3 Mg 0.177 0.176 0.356
Mg4 Mg 0.250 0.250 0.000
Hg1 Hg 0.000 0.500 0.500
```

Main lines, sorted by position (5° ≤ 2θ ≤ 70°):
- 2θ 12.2, 7.280 Å, I 100, hkl 0 2 0
- 2θ 17.2, 5.158 Å, I 94, hkl 1 1 -1
- 2θ 24.2, 3.674 Å, I 52, hkl 1 1 1
- 2θ 24.4, 3.641 Å, I 98, hkl 1 3 -1
- 2θ 27.4, 3.253 Å, I 39, hkl 0 2 2
- 2θ 29.9, 2.991 Å, I 49, hkl 1 3 1
- 2θ 34.5, 2.602 Å, I 42, hkl 2 2 0
- 2θ 34.8, 2.577 Å, I 80, hkl 2 2 -2
- 2θ 34.9, 2.573 Å, I 49, hkl 0 4 2
- 2θ 35.0, 2.562 Å, I 35, hkl 1 1 -3

=====

Ac2Mg2Hg5: theoretical powder XRD pattern (CuKα), based on a cell relaxed with GGA-PBE.

```
data_Ac2Mg2Hg5
_cell_length_a 5.290
_cell_length_b 5.290
_cell_length_c 9.014
_cell_angle_alpha 90.00
_cell_angle_beta 90.00
_cell_angle_gamma 90.00
_symmetry_space_group_name_H-M 'P 4/m m m'
_symmetry_Int_Tables_number 123
_symmetry_space_group_name_Hall '-P 4 2'
loop_
_atom_site_label
_atom_site_type_symbol
_atom_site_fract_x
_atom_site_fract_y
_atom_site_fract_z
Ac1 Ac 0.000 0.000 0.000
Ac2 Ac 0.000 0.000 0.500
Mg1 Mg 0.500 0.500 0.161
Hg1 Hg 0.000 0.500 0.263
Hg2 Hg 0.500 0.500 0.500
```

Main lines, sorted by position (5° ≤ 2θ ≤ 70°):
- 2θ 9.8, 9.014 Å, I 9, hkl 0 0 1
- 2θ 31.1, 2.878 Å, I 100, hkl 1 1 2
- 2θ 33.9, 2.645 Å, I 45, hkl 2 0 0
- 2θ 38.4, 2.342 Å, I 6, hkl 1 1 3
- 2θ 40.0, 2.253 Å, I 12, hkl 0 0 4
- 2θ 48.7, 1.870 Å, I 17, hkl 2 2 0
- 2θ 53.4, 1.715 Å, I 21, hkl 2 0 4
- 2θ 58.9, 1.568 Å, I 34, hkl 3 1 2
- 2θ 64.8, 1.439 Å, I 12, hkl 2 2 4
- 2θ 67.1, 1.394 Å, I 12, hkl 1 1 6

=====

AcNdMg2Hg4: theoretical powder XRD pattern (CuKα), based on a cell relaxed with GGA-PBE.

```
data_AcNdMg2Hg4
_cell_length_a 5.2665
_cell_length_b 5.2665
_cell_length_c 26.1601
_cell_angle_alpha 90.00
_cell_angle_beta 90.00
_cell_angle_gamma 120.00
_symmetry_space_group_name_H-M 'R -3 m'
_symmetry_Int_Tables_number 166
_symmetry_space_group_name_Hall '-R 3 2"'
loop_
_atom_site_label
_atom_site_type_symbol
_atom_site_fract_x
_atom_site_fract_y
_atom_site_fract_z
Ac1 Ac 0.0000 0.0000 0.0000
Nd1 Nd 0.0000 0.0000 0.5000
Mg1 Mg 0.0000 0.0000 0.2474
Hg1 Hg 0.0000 0.0000 0.1278
Hg2 Hg 0.0000 0.0000 0.3798
```

Main lines, sorted by position (5° ≤ 2θ ≤ 70°):
- 2θ 20.4, 4.360 Å, I 6, hkl 0 0 6
- 2θ 20.6, 4.307 Å, I 24, hkl 0 1 2
- 2θ 23.8, 3.741 Å, I 23, hkl 1 0 4
- 2θ 33.7, 2.658 Å, I 100, hkl 0 1 8
- 2θ 34.0, 2.633 Å, I 100, hkl 1 1 0
- 2θ 40.0, 2.254 Å, I 7, hkl 1 1 6
- 2θ 48.7, 1.871 Å, I 36, hkl 2 0 8
- 2θ 60.1, 1.539 Å, I 18, hkl 1 0 16
- 2θ 60.7, 1.525 Å, I 38, hkl 1 2 8
- 2θ 60.9, 1.520 Å, I 19, hkl 3 0 0

=====

Ac2MgSnHg6: theoretical powder XRD pattern (CuKα), based on a cell relaxed with GGA-PBE.

```
data_Ac2MgSnHg6
_cell_length_a 5.769
_cell_length_b 7.438
_cell_length_c 7.534
_cell_angle_alpha 79.72
_cell_angle_beta 70.99
_cell_angle_gamma 69.40
_symmetry_space_group_name_H-M 'P -1'
_symmetry_Int_Tables_number 2
_symmetry_space_group_name_Hall '-P 1'
loop_
_atom_site_label
_atom_site_type_symbol
_atom_site_fract_x
_atom_site_fract_y
_atom_site_fract_z
Ac1 Ac 0.004 0.229 0.275
Mg1 Mg 0.500 0.500 0.000
Sn1 Sn 0.500 0.000 0.500
Hg1 Hg 0.004 0.702 0.250
Hg2 Hg 0.346 0.914 0.929
Hg3 Hg 0.499 0.345 0.677
```

Main lines, sorted by position (5° ≤ 2θ ≤ 70°):
- 2θ 25.1, 3.553 Å, I 45, hkl 0 0 2
- 2θ 25.6, 3.473 Å, I 55, hkl 0 2 0
- 2θ 26.0, 3.423 Å, I 61, hkl 1 0 2
- 2θ 29.4, 3.037 Å, I 100, hkl 0 2 -1
- 2θ 34.5, 2.603 Å, I 54, hkl 1 0 -2
- 2θ 34.7, 2.588 Å, I 64, hkl 2 0 0
- 2θ 34.8, 2.578 Å, I 54, hkl 0 2 2
- 2θ 35.4, 2.537 Å, I 52, hkl 1 -2 0
- 2θ 36.2, 2.485 Å, I 51, hkl 2 2 0
- 2θ 36.7, 2.450 Å, I 84, hkl 2 0 2

=====

Ac2MgHgTe5: theoretical powder XRD pattern (CuKα), based on a cell relaxed with GGA-PBE.

```
data_Ac2MgHgTe5
_cell_length_a 4.556
_cell_length_b 19.531
_cell_length_c 13.526
_cell_angle_alpha 90.00
_cell_angle_beta 90.00
_cell_angle_gamma 90.00
_symmetry_space_group_name_H-M 'C m c 21'
_symmetry_Int_Tables_number 36
_symmetry_space_group_name_Hall 'C 2c -2'
loop_
_atom_site_label
_atom_site_type_symbol
_atom_site_fract_x
_atom_site_fract_y
_atom_site_fract_z
Ac1 Ac 0.000 0.117 0.000
Ac2 Ac 0.000 0.136 0.615
Mg1 Mg 0.000 0.203 0.321
Hg1 Hg 0.000 0.452 0.768
Te1 Te 0.000 0.048 0.385
Te2 Te 0.000 0.288 0.968
Te3 Te 0.000 0.308 0.664
Te4 Te 0.000 0.352 0.310
Te5 Te 0.000 0.495 0.079
```

Main lines, sorted by position (5° ≤ 2θ ≤ 70°):
- 2θ 24.0, 3.710 Å, I 33, hkl 1 1 2
- 2θ 26.9, 3.313 Å, I 16, hkl 0 4 3
- 2θ 27.3, 3.268 Å, I 24, hkl 1 3 2
- 2θ 28.2, 3.163 Å, I 100, hkl 0 6 1
- 2θ 30.1, 2.965 Å, I 27, hkl 1 5 0
- 2θ 33.0, 2.716 Å, I 22, hkl 1 5 2
- 2θ 34.4, 2.607 Å, I 16, hkl 0 2 5
- 2θ 36.3, 2.478 Å, I 32, hkl 1 5 3
- 2θ 39.6, 2.278 Å, I 29, hkl 2 0 0
- 2θ 49.3, 1.849 Å, I 17, hkl 2 6 1

=====

What is the formula in the sixth record?
Ac2MgHgTe5